Diffraction record for Fe3NiP4O16. The powder diffractogram is computed, not measured: it uses DFT lattice parameters and positions (GGA+U) and a wavelength of 1.5418 Å.

The 8 most intense peaks (2θ = 15–90°), low angle first:
hkl, d (Å), 2θ (°), I/Imax
0 0 2, 4.977, 17.82, 79
1 0 -1, 4.370, 20.32, 92
1 1 -1, 3.504, 25.42, 100
1 1 -2, 2.992, 29.87, 29
0 2 0, 2.932, 30.49, 80
1 1 -3, 2.485, 36.14, 51
1 1 3, 2.481, 36.21, 54
1 2 -1, 2.435, 36.92, 33

Cell and atoms:
Cell lengths 4.8636, 5.8633, 9.9532 Å; angles 90.00, 90.14, 90.00 degrees
Fractional positions:
1 Fe 0.0000 0.0000 0.0000
2 Fe 0.0916 0.5000 0.5488
3 Fe 0.5912 0.0000 0.5005
4 Ni 0.4885 0.5000 0.0525
5 P 0.1441 0.0000 0.6803
6 P 0.4443 0.0000 0.1800
7 P 0.6429 0.5000 0.3686
8 P 0.9504 0.5000 0.8728
9 O 0.2073 0.0000 0.8303
10 O 0.2645 0.5000 0.8903
11 O 0.2905 0.2029 0.1078
12 O 0.2905 0.7971 0.1078
13 O 0.2915 0.2045 0.6053
14 O 0.2915 0.7955 0.6053
15 O 0.3337 0.5000 0.3945
16 O 0.3911 0.0000 0.3314
17 O 0.7075 0.5000 0.2191
18 O 0.7524 0.0000 0.1534
19 O 0.7912 0.2962 0.4446
20 O 0.7912 0.7038 0.4446
21 O 0.8072 0.2927 0.9431
22 O 0.8072 0.7073 0.9431
23 O 0.8349 0.0000 0.6547
24 O 0.8951 0.5000 0.7205